# Ca2LaSbO6
Calculated X-ray powder pattern, Cu Kα (weighted mean of Kα1 and Kα2). Input: a crystal structure in the Materials Project, relaxed with PBE.

Crystal structure
```
data_Ca2LaSbO6
_chemical_formula_sum 'Ca8 La4 Sb4 O24'
_symmetry_space_group_name_H-M 'P n -3'
_symmetry_Int_Tables_number 201
_cell_length_a 8.383
_cell_length_b 8.383
_cell_length_c 8.383
_cell_angle_alpha 90.00
_cell_angle_beta 90.00
_cell_angle_gamma 90.00
loop_
_symmetry_equiv_pos_as_xyz
'x,y,z'
'-x,-y,-z'
'-x+1/2,-y+1/2,z'
'x+1/2,y+1/2,-z'
'x,-y+1/2,-z+1/2'
'-x,y+1/2,z+1/2'
'-x+1/2,y,-z+1/2'
'x+1/2,-y,z+1/2'
'z,x,y'
'-z,-x,-y'
'z,-x+1/2,-y+1/2'
'-z,x+1/2,y+1/2'
'-z+1/2,x,-y+1/2'
'z+1/2,-x,y+1/2'
'-z+1/2,-x+1/2,y'
'z+1/2,x+1/2,-y'
'y,z,x'
'-y,-z,-x'
'-y+1/2,z,-x+1/2'
'y+1/2,-z,x+1/2'
'-y+1/2,-z+1/2,x'
'y+1/2,z+1/2,-x'
'y,-z+1/2,-x+1/2'
'-y,z+1/2,x+1/2'
loop_
_atom_site_label
_atom_site_type_symbol
_atom_site_fract_x
_atom_site_fract_y
_atom_site_fract_z
_atom_site_occupancy
Ca1 Ca 0.250 0.250 0.250 1
Ca2 Ca 0.250 0.250 0.750 1
La1 La 0.000 0.000 0.000 1
Sb1 Sb 0.000 0.000 0.500 1
O1 O 0.046 0.561 0.772 1
```

Largest 10 diffraction maxima, most intense first, 2θ from 10° to 90°:
(hkl), 2theta, Rel. int.
2 2 0, 30.15, 100
4 2 2, 53.55, 47
2 0 0, 21.20, 46
4 0 0, 43.17, 28
6 2 4, 86.97, 22
4 2 0, 48.57, 21
6 2 0, 71.13, 18
4 4 0, 62.69, 15
4 4 2, 66.98, 8
2 2 2, 37.15, 5

***

# Ca2LaSbO6
Calculated X-ray powder pattern, Cu Kα (weighted mean of Kα1 and Kα2). Input: a crystal structure in the Materials Project, relaxed with PBE.

Crystal structure
```
data_Ca2LaSbO6
_chemical_formula_sum 'Ca4 La2 Sb2 O12'
_symmetry_space_group_name_H-M 'P 4/m n c'
_symmetry_Int_Tables_number 128
_symmetry_space_group_name_Hall '-P 4 2n'
_cell_length_a 5.907
_cell_length_b 5.907
_cell_length_c 8.549
_cell_angle_alpha 90.00
_cell_angle_beta 90.00
_cell_angle_gamma 90.00
loop_
_atom_site_label
_atom_site_type_symbol
_atom_site_fract_x
_atom_site_fract_y
_atom_site_fract_z
_atom_site_occupancy
Ca1 Ca 0.000 0.500 0.250 1
La1 La 0.000 0.000 0.000 1
Sb1 Sb 0.000 0.000 0.500 1
O1 O 0.000 0.000 0.267 1
O2 O 0.141 0.312 0.500 1
```

Largest 10 diffraction maxima, most intense first, 2θ from 10° to 90°:
(hkl), 2theta, Rel. int.
1 1 2, 29.91, 100
2 0 0, 30.26, 68
3 1 2, 53.54, 51
1 1 0, 21.27, 49
0 0 2, 20.78, 31
2 2 0, 43.32, 30
2 0 4, 52.88, 27
0 0 4, 42.29, 21
2 2 4, 62.14, 19
3 1 0, 48.75, 16

***

# Ca2LaSbO6
Calculated X-ray powder pattern, Cu Kα (weighted mean of Kα1 and Kα2). Input: a crystal structure in the Materials Project, relaxed with PBE.

Crystal structure
```
data_Ca2LaSbO6
_chemical_formula_sum 'Ca4 La2 Sb2 O12'
_symmetry_space_group_name_H-M 'P 1 21/c 1'
_symmetry_Int_Tables_number 14
_cell_length_a 5.776
_cell_length_b 5.947
_cell_length_c 10.108
_cell_angle_alpha 90.00
_cell_angle_beta 124.36
_cell_angle_gamma 90.00
loop_
_symmetry_equiv_pos_as_xyz
'x,y,z'
'-x,-y,-z'
'-x,y+1/2,-z+1/2'
'x,-y+1/2,z+1/2'
loop_
_atom_site_label
_atom_site_type_symbol
_atom_site_fract_x
_atom_site_fract_y
_atom_site_fract_z
_atom_site_occupancy
Ca1 Ca 0.236 0.052 0.247 1
La1 La 0.500 0.000 0.000 1
Sb1 Sb 0.000 0.000 0.500 1
O1 O 0.095 0.210 0.935 1
O2 O 0.224 0.672 0.938 1
O3 O 0.346 0.053 0.725 1
```

Largest 10 diffraction maxima, most intense first, 2θ from 10° to 90°:
(hkl), 2theta, Rel. int.
1 1 1, 30.31, 100
1 1 -3, 30.50, 100
1 1 -1, 21.45, 91
0 2 0, 30.05, 49
2 2 -2, 43.69, 47
0 2 4, 53.66, 45
2 0 -2, 30.97, 44
0 0 2, 21.30, 44
3 1 -1, 54.53, 33
3 1 -5, 54.91, 27

***

> Number 3 is which compound?

Ca2LaSbO6